Starting from a DFT-relaxed cell (PBE, Alexandria), the X-ray powder pattern of Er4Al3In was simulated for Cu Kα (λ = 1.5418 Å).
Neutral-atom scattering factors, no anomalous dispersion.

Top 10 peaks for 2θ from 10° to 90°, low angle first:
hkl, two_theta, I (rel.)
0 0 4, 23.99, 18
1 0 0, 25.02, 35
1 0 4, 34.94, 100
1 1 0, 35.67, 49
1 1 4, 43.45, 16
0 0 8, 49.13, 8
2 0 0, 51.34, 17
1 1 8, 62.18, 16
2 1 4, 63.61, 35
2 0 8, 73.79, 10

Cell and atoms:
Lattice parameters (Å, degrees): 3.560 3.560 14.835 90.00 90.00 90.00
Fractional coordinates of all 8 atoms:
Er: 0.000 0.000 0.120
Er: 0.000 0.000 0.363
Er: 0.000 0.000 0.637
Er: 0.000 0.000 0.880
Al: 0.500 0.500 0.000
Al: 0.500 0.500 0.242
Al: 0.500 0.500 0.758
In: 0.500 0.500 0.500